[1]
Calculated powder XRD pattern of YP3O9 for λ = 1.5418 Å (Cu Kα), from a cell relaxed with GGA-PBE.
Intensities are scaled so that the largest is 100.

Largest 12 diffraction maxima, by angle, 2θ = 10–90°:
2θ 15.42, I 26; 2θ 18.32, I 40; 2θ 19.91, I 13; 2θ 21.89, I 23; 2θ 24.19, I 100; 2θ 25.11, I 36; 2θ 27.66, I 13; 2θ 28.19, I 15; 2θ 31.75, I 13; 2θ 34.46, I 11; 2θ 40.22, I 11; 2θ 44.26, I 12

Atomic structure:
Cell lengths 7.0981, 9.8022, 11.1484 Å; angles 90.00, 92.08, 90.00 degrees
Positions (direct):
Y 0.1745 0.2500 0.4627
Y 0.3107 0.2500 0.9805
Y 0.6893 0.7500 0.0195
Y 0.8255 0.7500 0.5373
P 0.1794 0.7500 0.1039
P 0.2673 0.0104 0.2319
P 0.2673 0.4896 0.2319
P 0.3143 0.7500 0.6261
P 0.3274 0.0337 0.7158
P 0.3274 0.4663 0.7158
P 0.6726 0.5337 0.2842
P 0.6726 0.9663 0.2842
P 0.6857 0.2500 0.3739
P 0.7327 0.5104 0.7681
P 0.7327 0.9896 0.7681
P 0.8206 0.2500 0.8961
O 0.0111 0.7500 0.0187
O 0.1457 0.7500 0.5405
O 0.1518 0.0854 0.3203
O 0.1518 0.4146 0.3203
O 0.1535 0.6252 0.1965
O 0.1535 0.8748 0.1965
O 0.2305 0.0919 0.6057
O 0.2305 0.4081 0.6057
O 0.2810 0.0892 0.8362
O 0.2810 0.4108 0.8362
O 0.2959 0.6281 0.7222
O 0.2959 0.8719 0.7222
O 0.3261 0.0851 0.1216
O 0.3261 0.4149 0.1216
O 0.3737 0.7500 0.0552
O 0.4497 0.5500 0.3045
O 0.4497 0.9500 0.3045
O 0.4927 0.2500 0.4244
O 0.5073 0.7500 0.5756
O 0.5503 0.0500 0.6955
O 0.5503 0.4500 0.6955
O 0.6263 0.2500 0.9448
O 0.6739 0.5851 0.8784
O 0.6739 0.9149 0.8784
O 0.7041 0.1281 0.2778
O 0.7041 0.3719 0.2778
O 0.7190 0.5892 0.1638
O 0.7190 0.9108 0.1638
O 0.7695 0.5919 0.3943
O 0.7695 0.9081 0.3943
O 0.8465 0.1252 0.8035
O 0.8465 0.3748 0.8035
O 0.8482 0.5854 0.6797
O 0.8482 0.9146 0.6797
O 0.8543 0.2500 0.4595
O 0.9889 0.2500 0.9813

=====

[2]
Calculated powder XRD pattern of BaNd2Se4 for λ = 1.5418 Å (Cu Kα), from a cell relaxed with GGA-PBE.
Intensities are scaled so that the largest is 100.

Largest 12 diffraction maxima, by angle, 2θ = 10–90°:
2θ 23.62, I 26; 2θ 30.65, I 100; 2θ 36.44, I 65; 2θ 43.89, I 24; 2θ 46.15, I 17; 2θ 48.34, I 11; 2θ 50.45, I 19; 2θ 61.98, I 21; 2θ 62.09, I 9; 2θ 63.77, I 7; 2θ 65.55, I 8; 2θ 75.74, I 14

Atomic structure:
Cell lengths 7.9892, 7.9892, 7.9892 Å; angles 109.41, 109.41, 109.60 degrees
Positions (direct):
Ba 0.0000 0.0000 0.0000
Ba 0.7500 0.2500 0.5000
Nd 0.2515 0.6250 0.1265
Nd 0.3750 0.5015 0.6265
Nd 0.4985 0.1250 0.8735
Nd 0.8750 0.7485 0.3735
Se 0.1420 0.7315 0.7457
Se 0.1463 0.2357 0.7543
Se 0.2685 0.0143 0.4105
Se 0.4815 0.3920 0.2457
Se 0.6037 0.8580 0.5895
Se 0.6080 0.8537 0.0895
Se 0.7643 0.5185 0.9105
Se 0.9857 0.3963 0.2543

=====

[3]
Calculated powder XRD pattern of MoI2 for λ = 1.5418 Å (Cu Kα), from a cell relaxed with GGA-PBE.
Intensities are scaled so that the largest is 100.

Largest 12 diffraction maxima, by angle, 2θ = 10–90°:
2θ 10.70, I 38; 2θ 11.11, I 100; 2θ 13.77, I 21; 2θ 22.34, I 21; 2θ 26.56, I 16; 2θ 29.18, I 26; 2θ 29.83, I 24; 2θ 31.10, I 17; 2θ 36.07, I 16; 2θ 39.28, I 13; 2θ 43.81, I 21; 2θ 45.22, I 27

Atomic structure:
Cell lengths 10.4720, 10.4720, 12.8570 Å; angles 90.00, 90.00, 75.78 degrees
Positions (direct):
Mo 0.0656 0.9344 0.8675
Mo 0.1151 0.1151 0.0000
Mo 0.1325 0.8675 0.0656
Mo 0.3675 0.6325 0.5656
Mo 0.3849 0.3849 0.5000
Mo 0.4344 0.5656 0.3675
Mo 0.5656 0.4344 0.6325
Mo 0.6151 0.6151 0.5000
Mo 0.6325 0.3675 0.4344
Mo 0.8675 0.1325 0.9344
Mo 0.8849 0.8849 0.0000
Mo 0.9344 0.0656 0.1325
I 0.0489 0.1892 0.7937
I 0.0868 0.6748 0.9299
I 0.1556 0.8444 0.6555
I 0.1748 0.5868 0.4299
I 0.1892 0.0489 0.2063
I 0.2130 0.2130 0.5000
I 0.2870 0.2870 0.0000
I 0.3108 0.4511 0.7063
I 0.3252 0.9132 0.9299
I 0.3444 0.6556 0.1555
I 0.4132 0.8252 0.4299
I 0.4511 0.3108 0.2937
I 0.5489 0.6892 0.7063
I 0.5868 0.1748 0.5701
I 0.6556 0.3444 0.8445
I 0.6748 0.0868 0.0701
I 0.6892 0.5489 0.2937
I 0.7130 0.7130 0.0000
I 0.7870 0.7870 0.5000
I 0.8108 0.9511 0.7937
I 0.8252 0.4132 0.5701
I 0.8444 0.1556 0.3445
I 0.9132 0.3252 0.0701
I 0.9511 0.8108 0.2063

=====

[4]
Calculated powder XRD pattern of CaGa4O7 for λ = 1.5418 Å (Cu Kα), from a cell relaxed with GGA-PBE.
Intensities are scaled so that the largest is 100.

Largest 12 diffraction maxima, by angle, 2θ = 10–90°:
2θ 18.57, I 33; 2θ 19.25, I 82; 2θ 24.87, I 92; 2θ 27.76, I 72; 2θ 30.79, I 35; 2θ 31.06, I 37; 2θ 32.57, I 64; 2θ 33.27, I 100; 2θ 34.01, I 34; 2θ 37.32, I 48; 2θ 41.86, I 32; 2θ 57.41, I 35

Atomic structure:
Cell lengths 8.0829, 8.0829, 5.6809 Å; angles 101.91, 101.91, 69.54 degrees
Positions (direct):
Ca 0.2078 0.7922 0.7500
Ca 0.7922 0.2078 0.2500
Ga 0.0753 0.2447 0.8147
Ga 0.2447 0.0753 0.3147
Ga 0.3146 0.4435 0.2549
Ga 0.4435 0.3146 0.7549
Ga 0.5565 0.6854 0.2451
Ga 0.6854 0.5565 0.7451
Ga 0.7553 0.9247 0.6853
Ga 0.9247 0.7553 0.1853
O 0.0472 0.1809 0.0958
O 0.1359 0.6380 0.3645
O 0.1809 0.0472 0.5958
O 0.2460 0.3684 0.9200
O 0.3620 0.8641 0.1355
O 0.3684 0.2460 0.4200
O 0.4643 0.5357 0.7500
O 0.5357 0.4643 0.2500
O 0.6316 0.7540 0.5800
O 0.6380 0.1359 0.8645
O 0.7540 0.6316 0.0800
O 0.8191 0.9528 0.4042
O 0.8641 0.3620 0.6355
O 0.9528 0.8191 0.9042

=====

[5]
Calculated powder XRD pattern of MgAl2Cu4O8 for λ = 1.5418 Å (Cu Kα), from a cell relaxed with GGA-PBE.
Intensities are scaled so that the largest is 100.

Largest 12 diffraction maxima, by angle, 2θ = 10–90°:
2θ 17.36, I 35; 2θ 18.57, I 27; 2θ 33.02, I 34; 2θ 33.59, I 23; 2θ 34.76, I 32; 2θ 35.07, I 77; 2θ 37.65, I 23; 2θ 40.98, I 100; 2θ 45.70, I 37; 2θ 62.07, I 20; 2θ 62.33, I 30; 2θ 63.74, I 36

Atomic structure:
Cell lengths 5.8787, 5.8787, 6.5126 Å; angles 122.26, 122.26, 61.16 degrees
Positions (direct):
Mg 0.0000 0.0000 0.0000
Al 0.1497 0.1497 0.4668
Al 0.8503 0.8503 0.5332
Cu 0.0000 0.5000 0.0000
Cu 0.5000 0.0000 0.0000
Cu 0.5000 0.5000 0.0000
Cu 0.5000 0.5000 0.5000
O 0.2227 0.7750 0.2525
O 0.2250 0.7773 0.7475
O 0.2550 0.2550 0.3244
O 0.2645 0.2645 0.8106
O 0.7355 0.7355 0.1894
O 0.7450 0.7450 0.6756
O 0.7750 0.2227 0.2525
O 0.7773 0.2250 0.7475

=====

[6]
Calculated powder XRD pattern of In2Se3 for λ = 1.5418 Å (Cu Kα), from a cell relaxed with GGA-PBE.
Intensities are scaled so that the largest is 100.

Largest 12 diffraction maxima, by angle, 2θ = 10–90°:
2θ 13.15, I 100; 2θ 14.97, I 33; 2θ 21.71, I 25; 2θ 24.87, I 60; 2θ 25.07, I 44; 2θ 25.47, I 19; 2θ 26.48, I 20; 2θ 28.09, I 28; 2θ 33.70, I 21; 2θ 38.08, I 65; 2θ 43.91, I 44; 2θ 46.01, I 44

Atomic structure:
Cell lengths 8.1871, 8.1871, 21.4825 Å; angles 90.00, 90.00, 120.00 degrees
Positions (direct):
In 0.0233 0.6840 0.0000
In 0.0414 0.7413 0.3359
In 0.2587 0.3001 0.0026
In 0.3001 0.0414 0.1693
In 0.3160 0.3393 0.6667
In 0.3393 0.0233 0.8333
In 0.6607 0.9767 0.3333
In 0.6840 0.6607 0.1667
In 0.6999 0.9586 0.6693
In 0.7413 0.6999 0.5026
In 0.9586 0.2587 0.8359
In 0.9767 0.3160 0.5000
Se 0.0074 0.6654 0.8734
Se 0.0289 0.3494 0.7023
Se 0.2821 0.6108 0.5389
Se 0.3205 0.9711 0.0356
Se 0.3286 0.7179 0.8723
Se 0.3346 0.3421 0.5401
Se 0.3421 0.0074 0.7067
Se 0.3494 0.3205 0.8689
Se 0.3892 0.6714 0.2056
Se 0.6108 0.3286 0.7056
Se 0.6506 0.6795 0.3689
Se 0.6579 0.9926 0.2067
Se 0.6654 0.6579 0.0401
Se 0.6714 0.2821 0.3723
Se 0.6795 0.0289 0.5356
Se 0.7179 0.3892 0.0389
Se 0.9711 0.6506 0.2023
Se 0.9926 0.3346 0.3734

=====

[7]
Calculated powder XRD pattern of V6Cu5Te12 for λ = 1.5418 Å (Cu Kα), from a cell relaxed with GGA-PBE.
Intensities are scaled so that the largest is 100.

Largest 12 diffraction maxima, by angle, 2θ = 10–90°:
2θ 24.52, I 38; 2θ 25.81, I 40; 2θ 26.09, I 43; 2θ 26.82, I 38; 2θ 29.23, I 43; 2θ 29.62, I 100; 2θ 33.24, I 80; 2θ 34.21, I 53; 2θ 34.90, I 39; 2θ 36.53, I 39; 2θ 36.70, I 38; 2θ 37.10, I 41

Atomic structure:
Cell lengths 7.8372, 9.0191, 15.5637 Å; angles 85.82, 81.57, 86.27 degrees
Positions (direct):
V 0.0496 0.3330 0.2874
V 0.0766 0.6525 0.8658
V 0.1264 0.5965 0.5712
V 0.1274 0.0011 0.9018
V 0.3737 0.0449 0.5440
V 0.4041 0.6913 0.2669
V 0.5959 0.3087 0.7331
V 0.6263 0.9551 0.4560
V 0.8726 0.9989 0.0982
V 0.8736 0.4035 0.4288
V 0.9234 0.3475 0.1342
V 0.9504 0.6670 0.7126
Cu 0.0060 0.3158 0.9321
Cu 0.0110 0.9153 0.6063
Cu 0.1297 0.4098 0.7384
Cu 0.3359 0.6129 0.7136
Cu 0.4916 0.2285 0.4079
Cu 0.5084 0.7715 0.5921
Cu 0.6641 0.3871 0.2864
Cu 0.8703 0.5902 0.2616
Cu 0.9890 0.0847 0.3937
Cu 0.9940 0.6842 0.0679
Te 0.0601 0.8159 0.2093
Te 0.0621 0.1870 0.5305
Te 0.1670 0.1485 0.0462
Te 0.1711 0.8751 0.7355
Te 0.2129 0.4909 0.1418
Te 0.2126 0.4977 0.3935
Te 0.3029 0.7571 0.9625
Te 0.3406 0.4348 0.8641
Te 0.3525 0.9444 0.3787
Te 0.3735 0.3647 0.6041
Te 0.3860 0.2205 0.2440
Te 0.4623 0.0845 0.8480
Te 0.5377 0.9155 0.1520
Te 0.6140 0.7795 0.7560
Te 0.6265 0.6353 0.3959
Te 0.6475 0.0556 0.6213
Te 0.6594 0.5652 0.1359
Te 0.6971 0.2429 0.0375
Te 0.7874 0.5023 0.6065
Te 0.7871 0.5091 0.8582
Te 0.8289 0.1249 0.2645
Te 0.8330 0.8515 0.9538
Te 0.9379 0.8130 0.4695
Te 0.9399 0.1841 0.7907

=====

[8]
Calculated powder XRD pattern of Li2Tm3Ge3 for λ = 1.5418 Å (Cu Kα), from a cell relaxed with GGA-PBE.
Intensities are scaled so that the largest is 100.

Largest 12 diffraction maxima, by angle, 2θ = 10–90°:
2θ 16.16, I 18; 2θ 23.54, I 36; 2θ 25.01, I 20; 2θ 30.22, I 16; 2θ 32.46, I 25; 2θ 32.66, I 21; 2θ 33.10, I 54; 2θ 34.27, I 100; 2θ 35.92, I 25; 2θ 37.86, I 30; 2θ 43.05, I 30; 2θ 56.76, I 17

Atomic structure:
Cell lengths 5.8726, 5.8726, 14.0448 Å; angles 90.00, 90.00, 138.08 degrees
Positions (direct):
Li 0.2193 0.7807 0.5842
Li 0.2193 0.7807 0.9158
Li 0.7807 0.2193 0.0842
Li 0.7807 0.2193 0.4158
Tm 0.0743 0.9257 0.1149
Tm 0.0743 0.9257 0.3851
Tm 0.3617 0.6383 0.2500
Tm 0.6383 0.3617 0.7500
Tm 0.9257 0.0743 0.6149
Tm 0.9257 0.0743 0.8851
Ge 0.3357 0.6643 0.7500
Ge 0.3977 0.6023 0.0448
Ge 0.3977 0.6023 0.4552
Ge 0.6023 0.3977 0.5448
Ge 0.6023 0.3977 0.9552
Ge 0.6643 0.3357 0.2500